[1]
Mg4InFe: computed powder diffraction line list (a wavelength of 1.5418 Å), based on a crystal structure in Alexandria, relaxed with PBE.
Lines closer than 0.1° are merged.

Crystal structure
Unit cell a=4.9549 b=7.3917 c=8.2047 alpha=116.74 beta=107.44 gamma=90.02
Sites, in units of the cell vectors:
1 Mg 0.0000 0.1963 0.0009
2 Mg 0.0000 0.8037 0.9991
3 Mg 0.1743 0.6754 0.3497
4 Mg 0.3709 0.1212 0.7423
5 Mg 0.3708 0.6199 0.7409
6 Mg 0.6292 0.3801 0.2591
7 Mg 0.6291 0.8788 0.2577
8 Mg 0.8257 0.3246 0.6503
9 In 0.1905 0.1891 0.3799
10 In 0.8095 0.8109 0.6201
11 Fe 0.2696 0.4998 0.9997
12 Fe 0.7304 0.5002 0.0003

Top 10 peaks for 2θ from 15° to 90°, in order of rising 2θ:
21.6°, I = 54
22.8°, I = 72
24.1°, I = 31
25.2°, I = 19
36.1°, I = 100
37.3°, I = 37
38.6°, I = 19
38.9°, I = 19
41.6°, I = 22
46.0°, I = 38

---

[2]
InFe2Mo2: computed powder diffraction line list (a wavelength of 1.5418 Å), based on a crystal structure in Alexandria, relaxed with PBE.
Lines closer than 0.1° are merged.

Crystal structure
Unit cell a=7.2104 b=7.2104 c=2.8283 alpha=90.00 beta=90.00 gamma=90.00
Sites, in units of the cell vectors:
1 In 0.0000 0.0000 0.0000
2 In 0.5000 0.5000 0.0000
3 Fe 0.1259 0.3741 0.0000
4 Fe 0.3741 0.8741 0.0000
5 Fe 0.6259 0.1259 0.0000
6 Fe 0.8741 0.6259 0.0000
7 Mo 0.1621 0.6621 0.5000
8 Mo 0.3379 0.1621 0.5000
9 Mo 0.6621 0.8379 0.5000
10 Mo 0.8379 0.3379 0.5000

Top 10 peaks for 2θ from 15° to 90°, in order of rising 2θ:
35.2°, I = 20
36.3°, I = 18
39.5°, I = 89
40.5°, I = 44
42.5°, I = 100
63.9°, I = 17
66.1°, I = 15
75.1°, I = 14
79.1°, I = 17
79.8°, I = 28